[1]
The following is a simulated X-ray diffraction stick pattern of Er5ZnIn2. It was derived from DFT lattice parameters and positions (PBE), using Cu Kα (λ = 1.5418 Å).
Intensities are scaled so that the largest is 100.

Crystal structure
Cell: 11.249 6.841 6.841 Å, 90.00 127.46 90.00°
Atoms (fractional coordinates):
1 Er 0.000 0.000 0.000
2 Er 0.250 0.250 0.001
3 Er 0.250 0.250 0.500
4 Er 0.250 0.750 0.001
5 Er 0.250 0.750 0.500
6 Er 0.500 0.500 0.000
7 Er 0.750 0.250 0.001
8 Er 0.750 0.250 0.500
9 Er 0.750 0.750 0.001
10 Er 0.750 0.750 0.500
11 Zn 0.000 0.500 0.501
12 Zn 0.500 0.000 0.501
13 In 0.000 0.000 0.500
14 In 0.000 0.500 0.000
15 In 0.500 0.000 0.000
16 In 0.500 0.500 0.500

Largest 6 diffraction maxima, in order of rising 2θ, 5 to 70 degrees two-theta:
- 2θ 32.99, I = 100.0
- 2θ 37.18, I = 36.2
- 2θ 40.41, I = 14.4
- 2θ 53.59, I = 12.6
- 2θ 56.06, I = 21.9
- 2θ 64.38, I = 28.8

***

[2]
The following is a simulated X-ray diffraction stick pattern of Rb2Hg6Pt. It was derived from DFT lattice parameters and positions (PBE), using Cu Kα (λ = 1.5418 Å).
Intensities are scaled so that the largest is 100.

Crystal structure
Cell: 10.402 10.402 10.402 Å, 149.78 149.78 43.27°
Atoms (fractional coordinates):
1 Rb 0.126 0.126 0.000
2 Rb 0.874 0.874 0.000
3 Hg 0.000 0.500 0.500
4 Hg 0.250 0.750 0.500
5 Hg 0.354 0.354 0.000
6 Hg 0.500 0.000 0.500
7 Hg 0.646 0.646 0.000
8 Hg 0.750 0.250 0.500
9 Pt 0.500 0.500 0.000

Largest 6 diffraction maxima, in order of rising 2θ, 5 to 70 degrees two-theta:
- 2θ 16.98, I = 28.4
- 2θ 29.74, I = 100.0
- 2θ 33.03, I = 73.2
- 2θ 47.42, I = 27.0
- 2θ 50.59, I = 34.1
- 2θ 56.98, I = 32.7

***

[3]
The following is a simulated X-ray diffraction stick pattern of Zr3CuOs2. It was derived from DFT lattice parameters and positions (PBE), using Cu Kα (λ = 1.5418 Å).
Intensities are scaled so that the largest is 100.

Crystal structure
Cell: 3.267 3.267 10.000 Å, 90.00 90.00 90.00°
Atoms (fractional coordinates):
1 Zr 0.000 0.000 0.000
2 Zr 0.000 0.000 0.332
3 Zr 0.000 0.000 0.668
4 Cu 0.500 0.500 0.500
5 Os 0.500 0.500 0.168
6 Os 0.500 0.500 0.832

Largest 6 diffraction maxima, in order of rising 2θ, 5 to 70 degrees two-theta:
- 2θ 8.84, I = 19.9
- 2θ 38.59, I = 100.0
- 2θ 38.99, I = 48.6
- 2θ 55.10, I = 8.8
- 2θ 56.33, I = 16.5
- 2θ 69.55, I = 17.3

***

[4]
The following is a simulated X-ray diffraction stick pattern of Ni2H7Pd2. It was derived from DFT lattice parameters and positions (PBE), using Cu Kα (λ = 1.5418 Å).
Intensities are scaled so that the largest is 100.

Crystal structure
Cell: 6.001 6.001 6.001 Å, 60.00 60.00 60.00°
Atoms (fractional coordinates):
1 Ni 0.000 0.000 0.000
2 Ni 0.000 0.000 0.500
3 Ni 0.000 0.500 0.000
4 Ni 0.500 0.000 0.000
5 H 0.089 0.089 0.661
6 H 0.089 0.661 0.089
7 H 0.089 0.661 0.661
8 H 0.339 0.339 0.911
9 H 0.339 0.911 0.339
10 H 0.339 0.911 0.911
11 H 0.375 0.375 0.375
12 H 0.625 0.625 0.625
13 H 0.661 0.089 0.089
14 H 0.661 0.089 0.661
15 H 0.661 0.661 0.089
16 H 0.911 0.339 0.339
17 H 0.911 0.339 0.911
18 H 0.911 0.911 0.339
19 Pd 0.000 0.500 0.500
20 Pd 0.500 0.000 0.500
21 Pd 0.500 0.500 0.000
22 Pd 0.500 0.500 0.500

Largest 6 diffraction maxima, in order of rising 2θ, 5 to 70 degrees two-theta:
- 2θ 18.10, I = 9.0
- 2θ 35.07, I = 4.8
- 2θ 36.68, I = 100.0
- 2θ 42.61, I = 46.7
- 2θ 46.65, I = 2.6
- 2θ 61.84, I = 31.6

***

[5]
The following is a simulated X-ray diffraction stick pattern of Pr2SmGa3Pt4. It was derived from DFT lattice parameters and positions (PBE), using Cu Kα (λ = 1.5418 Å).
Intensities are scaled so that the largest is 100.

Crystal structure
Cell: 4.330 4.330 11.367 Å, 90.00 90.00 90.00°
Atoms (fractional coordinates):
1 Pr 0.000 0.500 0.224
2 Pr 0.500 0.000 0.776
3 Sm 0.000 0.000 0.500
4 Ga 0.000 0.500 0.881
5 Ga 0.500 0.000 0.119
6 Ga 0.500 0.500 0.500
7 Pt 0.000 0.000 0.000
8 Pt 0.000 0.500 0.661
9 Pt 0.500 0.000 0.339
10 Pt 0.500 0.500 0.000

Largest 6 diffraction maxima, in order of rising 2θ, 5 to 70 degrees two-theta:
- 2θ 31.37, I = 19.1
- 2θ 33.23, I = 100.0
- 2θ 41.72, I = 51.0
- 2θ 43.44, I = 26.5
- 2θ 45.04, I = 17.1
- 2θ 60.47, I = 17.1

***

[6]
The following is a simulated X-ray diffraction stick pattern of ZnH2IrSe. It was derived from DFT lattice parameters and positions (PBE), using Cu Kα (λ = 1.5418 Å).
Intensities are scaled so that the largest is 100.

Crystal structure
Cell: 3.578 3.578 5.050 Å, 90.00 90.00 90.00°
Atoms (fractional coordinates):
1 Zn 0.000 0.000 0.000
2 H 0.000 0.500 0.500
3 H 0.500 0.000 0.500
4 Ir 0.500 0.500 0.500
5 Se 0.500 0.500 0.000

Largest 6 diffraction maxima, in order of rising 2θ, 5 to 70 degrees two-theta:
- 2θ 24.88, I = 56.0
- 2θ 30.62, I = 55.8
- 2θ 35.50, I = 100.0
- 2θ 43.88, I = 25.0
- 2θ 51.09, I = 70.8
- 2θ 63.75, I = 24.4

***

[7]
The following is a simulated X-ray diffraction stick pattern of CeNp2MoN4. It was derived from DFT lattice parameters and positions (PBE), using Cu Kα (λ = 1.5418 Å).
Intensities are scaled so that the largest is 100.

Crystal structure
Cell: 6.136 6.136 11.580 Å, 90.00 90.00 148.43°
Atoms (fractional coordinates):
1 Ce 0.114 0.886 0.750
2 Ce 0.886 0.114 0.250
3 Np 0.369 0.631 0.548
4 Np 0.369 0.631 0.952
5 Np 0.631 0.369 0.048
6 Np 0.631 0.369 0.452
7 Mo 0.148 0.852 0.250
8 Mo 0.852 0.148 0.750
9 N 0.000 0.000 0.000
10 N 0.000 0.000 0.500
11 N 0.271 0.729 0.120
12 N 0.271 0.729 0.380
13 N 0.463 0.537 0.750
14 N 0.537 0.463 0.250
15 N 0.729 0.271 0.620
16 N 0.729 0.271 0.880

Largest 6 diffraction maxima, in order of rising 2θ, 5 to 70 degrees two-theta:
- 2θ 27.61, I = 71.0
- 2θ 30.27, I = 71.6
- 2θ 30.89, I = 28.3
- 2θ 31.85, I = 100.0
- 2θ 38.63, I = 92.5
- 2θ 48.45, I = 27.9